The following is a theoretical powder XRD pattern of KRb2Tl12Ag3. It was derived from a crystal structure in Alexandria, relaxed with PBE, using Cu Kα (λ = 1.5418 Å).
Peak positions follow from Bragg's law for the DFT cell and can differ from measured ones.

Top 10 peaks for 10° ≤ 2θ ≤ 80°, low angle first:
- 2θ = 12.63°, rel. 38, (0 1 2)
- 2θ = 18.25°, rel. 23, (1 0 4)
- 2θ = 25.42°, rel. 100, (0 2 4)
- 2θ = 28.02°, rel. 56, (1 2 2)
- 2θ = 35.51°, rel. 61, (2 2 0)
- 2θ = 36.99°, rel. 57, (2 0 8)
- 2θ = 37.40°, rel. 21, (2 2 3)
- 2θ = 38.54°, rel. 50, (3 0 6)
- 2θ = 45.83°, rel. 26, (2 3 2)
- 2θ = 60.78°, rel. 24, (3 2 10)

Cell and atoms:
```
data_KRb2Tl12Ag3
_chemical_formula_sum 'K3 Rb6 Tl36 Ag9'
_symmetry_space_group_name_H-M 'R -3 m'
_symmetry_Int_Tables_number 166
_symmetry_space_group_name_Hall '-R 3 2"'
_cell_length_a 10.1125
_cell_length_b 10.1125
_cell_length_c 23.3729
_cell_angle_alpha 90.00
_cell_angle_beta 90.00
_cell_angle_gamma 120.00
loop_
_atom_site_label
_atom_site_type_symbol
_atom_site_fract_x
_atom_site_fract_y
_atom_site_fract_z
K1 K 0.0000 0.0000 0.0000
Rb1 Rb 0.0000 0.0000 0.4127
Tl1 Tl 0.0325 0.5163 0.8605
Tl2 Tl 0.0819 0.5409 0.3736
Ag1 Ag 0.0000 0.5000 0.5000
```

=====

The following is a theoretical powder XRD pattern of Ni3HS. It was derived from a crystal structure in Alexandria, relaxed with PBE, using Cu Kα (λ = 1.5418 Å).
Peak positions follow from Bragg's law for the DFT cell and can differ from measured ones.

Top 10 peaks for 10° ≤ 2θ ≤ 80°, low angle first:
- 2θ = 40.66°, rel. 40, (0 1 -3)
- 2θ = 40.78°, rel. 48, (2 0 1)
- 2θ = 41.05°, rel. 32, (1 2 -2)
- 2θ = 41.73°, rel. 100, (0 2 1)
- 2θ = 41.91°, rel. 68, (1 0 -3)
- 2θ = 43.32°, rel. 46, (2 1 0)
- 2θ = 46.07°, rel. 32, (2 -1 2)
- 2θ = 46.91°, rel. 32, (2 -2 2)
- 2θ = 47.10°, rel. 44, (-3 1 1)
- 2θ = 49.89°, rel. 37, (2 -3 1)

Cell and atoms:
```
data_Ni3HS
_chemical_formula_sum 'Ni12 H4 S4'
_symmetry_space_group_name_H-M 'P 1'
_symmetry_Int_Tables_number 1
_cell_length_a 5.833
_cell_length_b 5.971
_cell_length_c 6.784
_cell_angle_alpha 107.04
_cell_angle_beta 101.09
_cell_angle_gamma 106.83
loop_
_symmetry_equiv_pos_as_xyz
'x,y,z'
loop_
_atom_site_label
_atom_site_type_symbol
_atom_site_fract_x
_atom_site_fract_y
_atom_site_fract_z
Ni1 Ni 0.000 0.000 0.000
Ni2 Ni 0.009 0.843 0.336
Ni3 Ni 0.068 0.579 0.786
Ni4 Ni 0.089 0.457 0.139
Ni5 Ni 0.256 0.264 0.593
Ni6 Ni 0.349 0.687 0.545
Ni7 Ni 0.427 0.287 0.282
Ni8 Ni 0.518 0.998 0.963
Ni9 Ni 0.558 0.733 0.233
Ni10 Ni 0.633 0.605 0.869
Ni11 Ni 0.834 0.050 0.652
Ni12 Ni 0.854 0.222 0.339
H1 H 0.179 0.374 0.369
H2 H 0.323 0.482 0.825
H3 H 0.614 0.773 0.487
H4 H 0.704 0.894 0.819
S1 S 0.163 0.936 0.695
S2 S 0.253 0.844 0.138
S3 S 0.669 0.320 0.601
S4 S 0.703 0.430 0.121
```